Diffraction record for Tb4Al3In. The powder X-ray diffraction pattern is computed, not measured: it uses DFT lattice parameters and positions (PBE) and copper Kα.
Intensities are scaled so that the largest is 100.

Principal peaks in the range 2θ = 10–90°, low angle first:
2θ/deg  d (Å)  intensity  h k l
24.69  3.606  55  0 1 2
30.20  2.959  19  0 0 4
31.62  2.830  100  1 1 1
32.73  2.736  55  1 0 3
36.23  2.480  36  0 1 4
38.40  2.344  17  1 1 3
39.67  2.272  25  0 2 0
47.90  1.899  14  2 0 0
49.61  1.838  16  1 1 5
52.34  1.748  29  1 2 3
61.50  1.508  15  2 1 4
63.88  1.457  12  2 2 0

Cell and atoms:
Cell lengths 3.799, 4.544, 11.836 Å; angles 90.00, 90.00, 90.00 degrees
Space group Pmm2 (No. 25)
Asymmetric unit:
1 Tb 0.000 0.000 0.000
2 Tb 0.000 0.500 0.301
3 Tb 0.500 0.000 0.488
4 Tb 0.500 0.500 0.808
5 Al 0.000 0.500 0.574
6 Al 0.500 0.000 0.216
7 Al 0.500 0.500 0.081
8 In 0.000 0.000 0.718